Structure and simulated powder XRD pattern of Ba4Au3O (a structure optimized by DFT (GGA-PBE); copper Kα).
No peak broadening, texture or thermal motion is included.

Structure:
```
Ba4Au3O
1.0
6.900 0.000 0.000
0.000 4.407 0.000
-0.784 0.000 8.576
Ba Au O
4 3 1
Cartesian
0.000 0.000 0.000 Ba
0.891 0.000 3.547 Ba
3.252 2.204 0.761 Ba
4.389 2.204 5.222 Ba
0.802 2.204 6.141 Au
2.603 0.000 6.863 Au
4.468 0.000 2.832 Au
0.839 2.204 1.380 O
```

Top 10 peaks for 10° ≤ 2θ ≤ 90°, in order of rising 2θ:
(hkl)  d (Å)  two_theta  I_rel
2 0 -1  3.295  27.06  50
0 1 2  3.073  29.05  100
1 1 -2  2.876  31.09  43
1 1 2  2.740  32.69  67
1 0 -3  2.729  32.82  30
2 1 -1  2.639  33.97  66
2 1 1  2.532  35.45  65
0 2 0  2.204  40.95  46
1 0 -4  2.103  43.01  29
3 0 3  1.714  53.46  31